Record 1
Diffraction record for LiNbN2. The X-ray diffraction stick pattern is simulated, not measured: it uses the GGA-PBE geometry in the Materials Project and copper Kα.
Lines closer than 0.1° are merged.

Atomic structure:
```
LiNbN2
1.0
6.174 0.000 0.000
0.000 4.253 0.000
0.000 0.000 7.419
Li Nb N
4 4 8
direct
0.076 0.250 0.107
0.424 0.750 0.607
0.576 0.250 0.393
0.924 0.750 0.893
0.080 0.250 0.634
0.420 0.750 0.134
0.580 0.250 0.866
0.920 0.750 0.366
0.080 0.750 0.603
0.092 0.750 0.147
0.408 0.250 0.647
0.420 0.250 0.103
0.580 0.750 0.897
0.592 0.750 0.353
0.908 0.250 0.853
0.920 0.250 0.397
```

Peak list (12 most intense, 10 to 90 degrees two-theta, by intensity)
two_theta, Rel. int.
18.7, 100
24.1, 90
35.2, 56
50.8, 48
28.1, 47
42.5, 30
31.4, 26
28.9, 26
68.3, 25
35.9, 23
28.2, 19
39.2, 18

Record 2
Diffraction record for Cd2S. The X-ray diffraction stick pattern is simulated, not measured: it uses the GGA-PBE geometry in the Materials Project and copper Kα.
Lines closer than 0.1° are merged.

Atomic structure:
```
Cd2S
1.0
3.963 0.000 0.000
-1.981 3.432 0.000
0.000 0.000 5.809
Cd S
2 1
direct
0.000 0.000 0.000
0.333 0.667 0.646
0.000 0.000 0.433
```

Peak list (12 most intense, 10 to 90 degrees two-theta, by intensity)
two_theta, Rel. int.
30.2, 100
40.7, 62
26.0, 49
45.8, 38
15.3, 19
55.9, 17
62.9, 16
81.2, 16
67.7, 15
75.0, 14
56.2, 11
30.8, 11

Record 3
Diffraction record for Ni5As2. The X-ray diffraction stick pattern is simulated, not measured: it uses the GGA-PBE geometry in the Materials Project and copper Kα.
Lines closer than 0.1° are merged.

Atomic structure:
```
Ni5As2
1.0
6.813 0.000 0.000
-3.406 5.900 0.000
0.000 0.000 12.517
Ni As
30 12
direct
0.000 0.000 0.000
0.000 0.000 0.500
0.000 0.250 0.171
0.000 0.310 0.379
0.000 0.375 0.982
0.000 0.376 0.770
0.000 0.624 0.270
0.000 0.625 0.482
0.000 0.690 0.879
0.000 0.750 0.671
0.250 0.000 0.171
0.250 0.250 0.671
0.310 0.000 0.379
0.310 0.310 0.879
0.333 0.667 0.144
0.333 0.667 0.644
0.375 0.000 0.982
0.375 0.375 0.482
0.376 0.000 0.770
0.376 0.376 0.270
0.624 0.000 0.270
0.624 0.624 0.770
0.625 0.000 0.482
0.625 0.625 0.982
0.667 0.333 0.144
0.667 0.333 0.644
0.690 0.000 0.879
0.690 0.690 0.379
0.750 0.000 0.671
0.750 0.750 0.171
0.000 0.000 0.305
0.000 0.000 0.805
0.000 0.331 0.573
0.000 0.669 0.073
0.331 0.000 0.573
0.331 0.331 0.073
0.333 0.667 0.346
0.333 0.667 0.846
0.667 0.333 0.346
0.667 0.333 0.846
0.669 0.000 0.073
0.669 0.669 0.573
```

Peak list (12 most intense, 10 to 90 degrees two-theta, by intensity)
two_theta, Rel. int.
46.2, 100
44.9, 88
42.1, 25
41.1, 17
66.4, 15
51.4, 15
50.2, 13
85.5, 11
84.6, 11
76.7, 10
89.4, 10
29.9, 9

Record 4
Diffraction record for KAsO2F4. The X-ray diffraction stick pattern is simulated, not measured: it uses the GGA-PBE geometry in the Materials Project and copper Kα.
Lines closer than 0.1° are merged.

Atomic structure:
```
KAsO2F4
1.0
2.501 -7.715 0.000
2.501 7.715 0.000
-1.405 0.000 6.384
K As O F
2 2 4 8
direct
0.103 0.897 0.750
0.897 0.103 0.250
0.366 0.634 0.750
0.634 0.366 0.250
0.044 0.495 0.671
0.495 0.044 0.171
0.505 0.956 0.829
0.956 0.505 0.329
0.196 0.301 0.653
0.273 0.529 0.998
0.301 0.196 0.153
0.471 0.727 0.502
0.529 0.273 0.498
0.699 0.804 0.847
0.727 0.471 0.002
0.804 0.699 0.347
```

Peak list (12 most intense, 10 to 90 degrees two-theta, by intensity)
two_theta, Rel. int.
21.2, 100
18.0, 75
23.1, 58
25.9, 43
25.1, 42
43.9, 38
30.7, 35
28.0, 34
38.8, 33
43.0, 33
26.8, 29
19.1, 25

Record 5
Diffraction record for Tb5Ge3. The X-ray diffraction stick pattern is simulated, not measured: it uses the GGA-PBE geometry in the Materials Project and copper Kα.
Lines closer than 0.1° are merged.

Atomic structure:
```
Tb5Ge3
1.0
8.560 0.000 0.000
-4.280 7.414 0.000
0.000 0.000 6.465
Tb Ge
10 6
direct
0.000 0.242 0.250
0.000 0.758 0.750
0.242 0.000 0.250
0.242 0.242 0.750
0.333 0.667 0.000
0.333 0.667 0.500
0.667 0.333 0.000
0.667 0.333 0.500
0.758 0.000 0.750
0.758 0.758 0.250
0.000 0.394 0.750
0.000 0.606 0.250
0.394 0.000 0.750
0.394 0.394 0.250
0.606 0.000 0.250
0.606 0.606 0.750
```

Peak list (12 most intense, 10 to 90 degrees two-theta, by intensity)
two_theta, Rel. int.
34.9, 100
34.8, 87
31.9, 41
36.4, 40
30.2, 34
53.7, 29
56.9, 26
51.2, 24
57.3, 22
66.8, 17
24.0, 15
72.4, 14

Record 6
Diffraction record for KB5H8O12. The X-ray diffraction stick pattern is simulated, not measured: it uses the GGA-PBE geometry in the Materials Project and copper Kα.
Lines closer than 0.1° are merged.

Atomic structure:
```
KB5H8O12
1.0
11.177 0.000 0.000
0.000 5.600 4.544
0.000 -5.600 4.544
K B H O
2 10 16 24
direct
0.000 0.000 0.000
0.500 0.500 0.500
0.000 0.402 0.402
0.188 0.403 0.212
0.205 0.438 0.548
0.295 0.938 0.048
0.312 0.903 0.712
0.500 0.902 0.902
0.688 0.712 0.903
0.705 0.048 0.938
0.795 0.548 0.438
0.812 0.212 0.403
0.011 0.516 0.035
0.020 0.521 0.815
0.166 0.905 0.557
0.246 0.446 0.821
0.254 0.946 0.321
0.334 0.405 0.057
0.480 0.021 0.315
0.489 0.016 0.535
0.511 0.535 0.016
0.520 0.315 0.021
0.666 0.057 0.405
0.746 0.321 0.946
0.754 0.821 0.446
0.834 0.557 0.905
0.980 0.815 0.521
0.989 0.035 0.516
0.020 0.935 0.579
0.066 0.392 0.220
0.083 0.430 0.565
0.219 0.961 0.199
0.241 0.925 0.873
0.244 0.394 0.041
0.256 0.894 0.541
0.259 0.425 0.373
0.281 0.461 0.699
0.417 0.930 0.065
0.434 0.892 0.720
0.480 0.435 0.079
0.520 0.079 0.435
0.566 0.720 0.892
0.583 0.065 0.930
0.719 0.699 0.461
0.741 0.373 0.425
0.744 0.541 0.894
0.756 0.041 0.394
0.759 0.873 0.925
0.781 0.199 0.961
0.917 0.565 0.430
0.934 0.220 0.392
0.980 0.579 0.935
```

Peak list (12 most intense, 10 to 90 degrees two-theta, by intensity)
two_theta, Rel. int.
25.2, 100
26.5, 94
15.8, 76
32.0, 36
41.2, 33
42.4, 26
27.0, 25
14.8, 21
35.4, 17
41.6, 15
39.2, 13
30.0, 12